(1)
Simulated X-ray powder pattern
Compound: ZrH6Rh5
Radiation: Cu Kα X-rays
Structure: a cell relaxed with GGA-PBE
No peak broadening, texture or thermal motion is included.

Unit cell a=4.1614 b=5.3419 c=5.9868 alpha=68.61 beta=89.03 gamma=67.61
Fractional positions:
Zr (0.0000, 0.0000, 0.0000)
H (0.0797, 0.3301, 0.4095)
H (0.3137, 0.9724, 0.3009)
H (0.4832, 0.6083, 0.1197)
H (0.5168, 0.3917, 0.8803)
H (0.6863, 0.0276, 0.6991)
H (0.9203, 0.6699, 0.5905)
Rh (0.0000, 0.0000, 0.5000)
Rh (0.3075, 0.3246, 0.6730)
Rh (0.3363, 0.3227, 0.1602)
Rh (0.6637, 0.6773, 0.8398)
Rh (0.6925, 0.6754, 0.3270)

Largest 10 diffraction maxima, sorted by position, 2θ from 10° to 90°:
36.3°, rel. 100; 36.8°, rel. 96; 37.0°, rel. 92; 37.4°, rel. 90; 40.4°, rel. 71; 43.5°, rel. 56; 44.5°, rel. 55; 60.9°, rel. 42; 61.1°, rel. 21; 75.9°, rel. 21


(2)
Simulated X-ray powder pattern
Compound: ZrH2Rh
Radiation: Cu Kα X-rays
Structure: a cell relaxed with GGA-PBE
No peak broadening, texture or thermal motion is included.

Unit cell a=5.8319 b=5.9775 c=5.1172 alpha=90.00 beta=112.56 gamma=90.00
Fractional positions:
Zr (0.2195, 0.0948, 0.2813)
Zr (0.2195, 0.4052, 0.7813)
Zr (0.7805, 0.5948, 0.2187)
Zr (0.7805, 0.9052, 0.7187)
H (0.0376, 0.7198, 0.6147)
H (0.0376, 0.7802, 0.1147)
H (0.4735, 0.1368, 0.7404)
H (0.4735, 0.3632, 0.2404)
H (0.5265, 0.6368, 0.7596)
H (0.5265, 0.8632, 0.2596)
H (0.9624, 0.2198, 0.8853)
H (0.9624, 0.2802, 0.3853)
Rh (0.3239, 0.6310, 0.3152)
Rh (0.3239, 0.8690, 0.8152)
Rh (0.6761, 0.1310, 0.1848)
Rh (0.6761, 0.3690, 0.6848)

Largest 10 diffraction maxima, sorted by position, 2θ from 10° to 90°:
33.3°, rel. 44; 34.8°, rel. 20; 35.1°, rel. 12; 35.5°, rel. 100; 36.6°, rel. 19; 38.1°, rel. 32; 40.0°, rel. 33; 42.5°, rel. 12; 43.8°, rel. 46; 64.0°, rel. 12


(3)
Simulated X-ray powder pattern
Compound: ZrHRh3
Radiation: Cu Kα X-rays
Structure: a cell relaxed with GGA-PBE
No peak broadening, texture or thermal motion is included.

Unit cell a=5.6699 b=5.6699 c=5.6699 alpha=60.77 beta=60.77 gamma=60.77
Fractional positions:
Zr (0.2485, 0.2485, 0.2485)
Zr (0.7515, 0.7515, 0.7515)
H (0.0717, 0.0717, 0.0717)
H (0.9283, 0.9283, 0.9283)
Rh (0.2577, 0.2577, 0.7342)
Rh (0.2577, 0.7342, 0.2577)
Rh (0.2658, 0.7423, 0.7423)
Rh (0.7342, 0.2577, 0.2577)
Rh (0.7423, 0.2658, 0.7423)
Rh (0.7423, 0.7423, 0.2658)

Largest 10 diffraction maxima, sorted by position, 2θ from 10° to 90°:
38.5°, rel. 100; 39.1°, rel. 33; 45.0°, rel. 64; 65.0°, rel. 20; 65.9°, rel. 20; 78.2°, rel. 12; 78.6°, rel. 23; 79.4°, rel. 12; 82.6°, rel. 10; 84.1°, rel. 3


(4)
Simulated X-ray powder pattern
Compound: H3Ru
Radiation: Cu Kα X-rays
Structure: a cell relaxed with GGA-PBE
No peak broadening, texture or thermal motion is included.

Unit cell a=2.8211 b=2.8211 c=2.8858 alpha=90.00 beta=90.00 gamma=90.00
Fractional positions:
H (0.0000, 0.0000, 0.0000)
H (0.0000, 0.5000, 0.4704)
H (0.5000, 0.0000, 0.4704)
Ru (0.5000, 0.5000, 0.0695)

Largest 10 diffraction maxima, sorted by position, 2θ from 10° to 90°:
31.0°, rel. 54; 31.7°, rel. 100; 44.9°, rel. 76; 45.5°, rel. 36; 56.0°, rel. 41; 73.8°, rel. 17; 74.9°, rel. 16; 75.3°, rel. 16; 82.5°, rel. 13; 83.7°, rel. 24


(5)
Simulated X-ray powder pattern
Compound: HRuS
Radiation: Cu Kα X-rays
Structure: a cell relaxed with GGA-PBE
No peak broadening, texture or thermal motion is included.

Unit cell a=4.4268 b=5.5476 c=6.2844 alpha=90.00 beta=115.56 gamma=90.00
Fractional positions:
H (0.1427, 0.0838, 0.3919)
H (0.1427, 0.4162, 0.8919)
H (0.8573, 0.5838, 0.1081)
H (0.8573, 0.9162, 0.6081)
Ru (0.1065, 0.2273, 0.6316)
Ru (0.1065, 0.2727, 0.1316)
Ru (0.8935, 0.7273, 0.8684)
Ru (0.8935, 0.7727, 0.3684)
S (0.3827, 0.5683, 0.6080)
S (0.3827, 0.9317, 0.1080)
S (0.6173, 0.0683, 0.8920)
S (0.6173, 0.4317, 0.3920)

Largest 10 diffraction maxima, sorted by position, 2θ from 10° to 90°:
22.3°, rel. 51; 27.5°, rel. 56; 29.8°, rel. 41; 32.3°, rel. 36; 33.9°, rel. 100; 35.6°, rel. 73; 39.6°, rel. 60; 48.5°, rel. 49; 54.5°, rel. 35; 59.7°, rel. 31


(6)
Simulated X-ray powder pattern
Compound: Si2HRu
Radiation: Cu Kα X-rays
Structure: a cell relaxed with GGA-PBE
No peak broadening, texture or thermal motion is included.

Unit cell a=6.1950 b=6.1950 c=6.1950 alpha=138.91 beta=138.91 gamma=59.51
Fractional positions:
Si (0.0091, 0.6250, 0.8841)
Si (0.3750, 0.2591, 0.3841)
Si (0.7409, 0.1250, 0.1159)
Si (0.8750, 0.9909, 0.6159)
H (0.0000, 0.0000, 0.0000)
H (0.7500, 0.2500, 0.5000)
Ru (0.2500, 0.7500, 0.5000)
Ru (0.5000, 0.5000, 0.0000)

Largest 10 diffraction maxima, sorted by position, 2θ from 10° to 90°:
22.0°, rel. 62; 32.4°, rel. 72; 33.6°, rel. 100; 47.1°, rel. 24; 47.5°, rel. 52; 53.6°, rel. 15; 54.3°, rel. 35; 59.7°, rel. 18; 70.7°, rel. 18; 84.8°, rel. 13


(7)
Simulated X-ray powder pattern
Compound: TmSiHRu
Radiation: Cu Kα X-rays
Structure: a cell relaxed with GGA-PBE
No peak broadening, texture or thermal motion is included.

Unit cell a=4.0553 b=4.0553 c=6.9954 alpha=90.00 beta=90.00 gamma=90.00
Fractional positions:
Tm (0.2500, 0.2500, 0.1577)
Tm (0.7500, 0.7500, 0.8423)
Si (0.2500, 0.2500, 0.6772)
Si (0.7500, 0.7500, 0.3228)
H (0.2500, 0.7500, 0.0000)
H (0.7500, 0.2500, 0.0000)
Ru (0.2500, 0.7500, 0.5000)
Ru (0.7500, 0.2500, 0.5000)

Largest 10 diffraction maxima, sorted by position, 2θ from 10° to 90°:
25.4°, rel. 42; 33.8°, rel. 100; 38.6°, rel. 16; 40.7°, rel. 33; 44.7°, rel. 32; 52.1°, rel. 13; 57.2°, rel. 22; 60.5°, rel. 17; 62.2°, rel. 14; 75.4°, rel. 15


(8)
Simulated X-ray powder pattern
Compound: SmH9Ru2
Radiation: Cu Kα X-rays
Structure: a cell relaxed with GGA-PBE
No peak broadening, texture or thermal motion is included.

Unit cell a=6.3150 b=6.3150 c=6.3150 alpha=99.99 beta=99.99 gamma=130.78
Fractional positions:
Sm (0.3750, 0.6250, 0.7500)
Sm (0.6250, 0.3750, 0.2500)
H (0.1250, 0.8750, 0.2500)
H (0.1632, 0.5991, 0.3322)
H (0.1632, 0.8309, 0.5641)
H (0.1691, 0.2331, 0.3322)
H (0.1691, 0.8368, 0.9359)
H (0.2331, 0.1691, 0.8322)
H (0.2331, 0.4009, 0.0641)
H (0.4009, 0.2331, 0.5641)
H (0.4009, 0.8368, 0.1678)
H (0.5991, 0.1632, 0.8322)
H (0.5991, 0.7669, 0.4359)
H (0.7669, 0.5991, 0.9359)
H (0.7669, 0.8309, 0.1678)
H (0.8309, 0.1632, 0.0641)
H (0.8309, 0.7669, 0.6678)
H (0.8368, 0.1691, 0.4359)
H (0.8368, 0.4009, 0.6678)
H (0.8750, 0.1250, 0.7500)
Ru (0.0000, 0.0000, 0.0000)
Ru (0.0000, 0.0000, 0.5000)
Ru (0.0000, 0.5000, 0.0000)
Ru (0.5000, 0.0000, 0.5000)

Largest 10 diffraction maxima, sorted by position, 2θ from 10° to 90°:
21.9°, rel. 27; 29.9°, rel. 100; 37.6°, rel. 14; 40.9°, rel. 20; 43.7°, rel. 36; 44.6°, rel. 24; 49.6°, rel. 13; 53.5°, rel. 10; 62.1°, rel. 12; 64.3°, rel. 11


> Which formula does entry 7 have?

TmSiHRu